1.
Simulated XRD peak list of MgV5O12 for Cu Kα (weighted mean of Kα1 and Kα2), from a structure optimized by DFT (PBE+U).

Crystal structure
```
data_MgV5O12
_space_group_name_H-M_alt 'P 1'
_space_group_IT_number 1
_cell_length_a 5.953
_cell_length_b 6.772
_cell_length_c 6.810
_cell_angle_alpha 78.56
_cell_angle_beta 72.83
_cell_angle_gamma 74.12
loop_
_space_group_symop_operation_xyz
'x,y,z'
loop_
_atom_site_label
_atom_site_type_symbol
_atom_site_fract_x
_atom_site_fract_y
_atom_site_fract_z
Mg1 Mg 0.000 0.000 0.000
V1 V 0.416 0.316 0.134
V2 V 0.421 0.942 0.629
V3 V 0.908 0.120 0.488
V4 V 0.935 0.512 0.925
V5 V 0.938 0.646 0.372
O1 O 0.074 0.046 0.681
O2 O 0.223 0.319 0.974
O3 O 0.292 0.534 0.253
O4 O 0.365 0.847 0.882
O5 O 0.390 0.113 0.326
O6 O 0.585 0.738 0.500
O7 O 0.613 0.109 0.633
O8 O 0.740 0.298 0.007
O9 O 0.885 0.366 0.375
O10 O 0.893 0.716 0.077
O11 O 0.974 0.589 0.664
O12 O 0.985 0.948 0.306
```

Top 8 peaks for 2θ = 5–70°, by intensity:
28.2 deg, I 100, hkl 1 0 2
32.3 deg, I 83, hkl 2 0 0
28.6 deg, I 73, hkl 1 2 0
29.3 deg, I 72, hkl 0 2 1
18.1 deg, I 72, hkl 0 1 1
16.0 deg, I 53, hkl 1 0 0
20.7 deg, I 49, hkl 0 1 -1
26.0 deg, I 44, hkl 1 -1 1

***

2.
Simulated XRD peak list of MgV5O12 for Cu Kα (weighted mean of Kα1 and Kα2), from a structure optimized by DFT (PBE+U).

Crystal structure
```
data_MgV5O12
_space_group_name_H-M_alt 'C 1 2 1'
_space_group_IT_number 5
_cell_length_a 10.674
_cell_length_b 8.710
_cell_length_c 5.916
_cell_angle_alpha 90.00
_cell_angle_beta 112.09
_cell_angle_gamma 90.00
loop_
_space_group_symop_operation_xyz
'x,y,z'
'-x,y,-z'
'x+1/2,y+1/2,z'
'-x+1/2,y+1/2,-z'
loop_
_atom_site_label
_atom_site_type_symbol
_atom_site_fract_x
_atom_site_fract_y
_atom_site_fract_z
Mg1 Mg 0.000 0.000 0.000
V1 V 0.000 0.192 0.500
V2 V 0.205 0.856 0.465
V3 V 0.210 0.667 0.979
O1 O 0.115 0.143 0.884
O2 O 0.127 0.361 0.459
O3 O 0.128 0.034 0.422
O4 O 0.134 0.795 0.146
O5 O 0.145 0.497 0.960
O6 O 0.157 0.743 0.672
```

Top 8 peaks for 2θ = 5–70°, by intensity:
28.1 deg, I 100, hkl 2 2 -1
26.1 deg, I 62, hkl 0 2 1
32.7 deg, I 50, hkl 0 0 2
29.0 deg, I 50, hkl 3 1 0
17.9 deg, I 35, hkl 2 0 0
13.5 deg, I 30, hkl 1 1 0
53.3 deg, I 20, hkl 5 3 -1
50.8 deg, I 19, hkl 2 2 -3

***

3.
Simulated XRD peak list of MgV3O8 for Cu Kα (weighted mean of Kα1 and Kα2), from a structure optimized by DFT (PBE+U).

Crystal structure
```
data_MgV3O8
_space_group_name_H-M_alt 'C 1 2/c 1'
_space_group_IT_number 15
_cell_length_a 10.547
_cell_length_b 8.692
_cell_length_c 13.956
_cell_angle_alpha 90.00
_cell_angle_beta 101.11
_cell_angle_gamma 90.00
loop_
_space_group_symop_operation_xyz
'x,y,z'
'-x,-y,-z'
'-x,y,-z+1/2'
'x,-y,z+1/2'
'x+1/2,y+1/2,z'
'-x+1/2,-y+1/2,-z'
'-x+1/2,y+1/2,-z+1/2'
'x+1/2,-y+1/2,z+1/2'
loop_
_atom_site_label
_atom_site_type_symbol
_atom_site_fract_x
_atom_site_fract_y
_atom_site_fract_z
Mg1 Mg 0.218 0.069 0.355
V1 V 0.016 0.251 0.888
V2 V 0.079 0.250 0.146
V3 V 0.219 0.432 0.366
O1 O 0.072 0.255 0.020
O2 O 0.079 0.091 0.851
O3 O 0.079 0.412 0.847
O4 O 0.088 0.255 0.342
O5 O 0.156 0.246 0.642
O6 O 0.163 0.409 0.193
O7 O 0.166 0.083 0.188
O8 O 0.250 0.056 0.512
```

Top 8 peaks for 2θ = 5–70°, by intensity:
26.8 deg, I 100, hkl 2 2 0
26.0 deg, I 83, hkl 0 0 4
27.4 deg, I 70, hkl 3 1 -1
53.8 deg, I 34, hkl 5 3 -1
28.3 deg, I 25, hkl 2 2 -2
35.2 deg, I 21, hkl 2 2 -4
39.5 deg, I 16, hkl 0 0 6
20.4 deg, I 16, hkl 0 2 0

***

4.
Simulated XRD peak list of Mg2V3O8 for Cu Kα (weighted mean of Kα1 and Kα2), from a structure optimized by DFT (PBE+U).

Crystal structure
```
data_Mg2V3O8
_space_group_name_H-M_alt 'C 1 2/m 1'
_space_group_IT_number 12
_cell_length_a 10.507
_cell_length_b 5.996
_cell_length_c 4.861
_cell_angle_alpha 90.00
_cell_angle_beta 110.97
_cell_angle_gamma 90.00
loop_
_space_group_symop_operation_xyz
'x,y,z'
'-x,-y,-z'
'-x,y,-z'
'x,-y,z'
'x+1/2,y+1/2,z'
'-x+1/2,-y+1/2,-z'
'-x+1/2,y+1/2,-z'
'x+1/2,-y+1/2,z'
loop_
_atom_site_label
_atom_site_type_symbol
_atom_site_fract_x
_atom_site_fract_y
_atom_site_fract_z
Mg1 Mg 0.225 0.000 0.156
V1 V 0.000 0.228 0.500
V2 V 0.000 0.500 0.000
O1 O 0.106 0.000 0.413
O2 O 0.106 0.500 0.402
O3 O 0.117 0.275 0.894
```

Top 8 peaks for 2θ = 5–70°, by intensity:
18.1 deg, I 100, hkl 2 0 0
37.0 deg, I 68, hkl 2 2 -1
46.5 deg, I 67, hkl 4 2 -1
28.6 deg, I 49, hkl 1 1 1
31.2 deg, I 44, hkl 3 1 -1
57.6 deg, I 32, hkl 4 2 1
65.6 deg, I 28, hkl 2 2 -3
50.0 deg, I 28, hkl 2 0 2